Record 1
Starting from a cell relaxed with PBE, the PXRD pattern of K6CuSi2O8 was calculated for a wavelength of 1.5418 Å.
Peak positions follow from Bragg's law for the DFT cell and can differ from measured ones.

Structure:
Unit cell a=6.2823 b=6.7515 c=7.6147 alpha=83.46 beta=87.66 gamma=69.85
Fractional positions:
K 0.1534 0.3275 0.1674
K 0.2250 0.6858 0.4410
K 0.2995 0.8043 0.9755
K 0.7005 0.1957 0.0245
K 0.7750 0.3142 0.5590
K 0.8466 0.6725 0.8326
Cu 0.5000 0.0000 0.5000
Si 0.2806 0.2596 0.7319
Si 0.7194 0.7404 0.2681
O 0.0642 0.2254 0.8422
O 0.2440 0.2696 0.5120
O 0.3322 0.4674 0.7850
O 0.4836 0.9584 0.2466
O 0.5164 0.0416 0.7534
O 0.6678 0.5326 0.2150
O 0.7560 0.7304 0.4880
O 0.9358 0.7746 0.1578

Largest 6 diffraction maxima, by angle, 2θ from 5° to 70°:
- 16.71°, d 5.307, I 100
- 28.36°, d 3.147, I 99
- 28.78°, d 3.102, I 61
- 31.69°, d 2.824, I 74
- 32.72°, d 2.737, I 59
- 38.09°, d 2.363, I 57

***

Record 2
Starting from a cell relaxed with PBE, the PXRD pattern of KYCu2O4 was calculated for a wavelength of 1.5418 Å.
Peak positions follow from Bragg's law for the DFT cell and can differ from measured ones.

Structure:
Unit cell a=3.8806 b=3.8806 c=7.1811 alpha=90.00 beta=90.00 gamma=90.00
Fractional positions:
K 0.0000 0.0000 0.0000
Y 0.0000 0.0000 0.5000
Cu 0.5000 0.5000 0.2770
Cu 0.5000 0.5000 0.7230
O 0.0000 0.5000 0.2999
O 0.0000 0.5000 0.7001
O 0.5000 0.0000 0.2999
O 0.5000 0.0000 0.7001

Largest 6 diffraction maxima, by angle, 2θ from 5° to 70°:
- 12.33°, d 7.181, I 38
- 32.63°, d 2.744, I 33
- 34.02°, d 2.635, I 100
- 46.82°, d 1.940, I 31
- 59.13°, d 1.563, I 37
- 61.75°, d 1.502, I 12

***

Record 3
Starting from a cell relaxed with PBE, the PXRD pattern of K3Cu3P2 was calculated for a wavelength of 1.5418 Å.
Peak positions follow from Bragg's law for the DFT cell and can differ from measured ones.

Structure:
Unit cell a=7.4298 b=7.4298 c=7.4298 alpha=45.32 beta=45.32 gamma=45.32
Fractional positions:
K 0.0000 0.0000 0.0000
K 0.4081 0.4081 0.4081
K 0.5919 0.5919 0.5919
Cu 0.0000 0.0000 0.5000
Cu 0.0000 0.5000 0.0000
Cu 0.5000 0.0000 0.0000
P 0.2436 0.2436 0.2436
P 0.7564 0.7564 0.7564

Largest 6 diffraction maxima, by angle, 2θ from 5° to 70°:
- 13.31°, d 6.654, I 100
- 28.71°, d 3.110, I 81
- 36.52°, d 2.460, I 55
- 37.38°, d 2.406, I 46
- 40.64°, d 2.220, I 57
- 41.62°, d 2.170, I 37

***

Record 4
Starting from a cell relaxed with PBE, the PXRD pattern of K2CuP3S9 was calculated for a wavelength of 1.5418 Å.
Peak positions follow from Bragg's law for the DFT cell and can differ from measured ones.

Structure:
Unit cell a=6.9060 b=24.3412 c=10.9906 alpha=90.00 beta=118.87 gamma=90.00
Fractional positions:
K 0.0095 0.0442 0.2381
K 0.0095 0.4558 0.7381
K 0.2979 0.6957 0.1276
K 0.2979 0.8043 0.6276
K 0.7021 0.1957 0.3724
K 0.7021 0.3043 0.8724
K 0.9905 0.5442 0.2619
K 0.9905 0.9558 0.7619
Cu 0.2371 0.6085 0.8078
Cu 0.2371 0.8915 0.3078
Cu 0.7629 0.1085 0.6922
Cu 0.7629 0.3915 0.1922
P 0.0956 0.2209 0.7809
P 0.0956 0.2791 0.2809
P 0.2223 0.0992 0.6610
P 0.2223 0.4008 0.1610
P 0.2511 0.1018 0.9888
P 0.2511 0.3982 0.4888
P 0.7489 0.6018 0.5112
P 0.7489 0.8982 0.0112
P 0.7777 0.5992 0.8390
P 0.7777 0.9008 0.3390
P 0.9044 0.7209 0.7191
P 0.9044 0.7791 0.2191
S 0.0598 0.5757 0.5831
S 0.0598 0.9243 0.0831
S 0.0916 0.5725 0.9419
S 0.0916 0.9275 0.4419
S 0.1756 0.2007 0.3028
S 0.1756 0.2993 0.8028
S 0.2278 0.7034 0.8071
S 0.2278 0.7966 0.3071
S 0.2461 0.1869 0.6663
S 0.2461 0.3131 0.1663
S 0.2859 0.1887 0.9860
S 0.2859 0.3113 0.4860
S 0.3971 0.0695 0.8696
S 0.3971 0.4305 0.3696
S 0.4076 0.0748 0.5755
S 0.4076 0.4252 0.0755
S 0.4658 0.0813 0.1829
S 0.4658 0.4187 0.6829
S 0.5342 0.5813 0.3171
S 0.5342 0.9187 0.8171
S 0.5924 0.5748 0.9245
S 0.5924 0.9252 0.4245
S 0.6029 0.5695 0.6304
S 0.6029 0.9305 0.1304
S 0.7141 0.6887 0.5140
S 0.7141 0.8113 0.0140
S 0.7539 0.6869 0.8337
S 0.7539 0.8131 0.3337
S 0.7722 0.2034 0.6929
S 0.7722 0.2966 0.1929
S 0.8244 0.7007 0.1972
S 0.8244 0.7993 0.6972
S 0.9084 0.0725 0.5581
S 0.9084 0.4275 0.0581
S 0.9402 0.0757 0.9169
S 0.9402 0.4243 0.4169

Largest 6 diffraction maxima, by angle, 2θ from 5° to 70°:
- 11.72°, d 7.549, I 100
- 14.90°, d 5.945, I 39
- 21.91°, d 4.057, I 32
- 29.38°, d 3.040, I 34
- 29.95°, d 2.983, I 29
- 31.55°, d 2.836, I 42

***

Record 5
Starting from a cell relaxed with PBE, the PXRD pattern of KCuP2Se5 was calculated for a wavelength of 1.5418 Å.
Peak positions follow from Bragg's law for the DFT cell and can differ from measured ones.

Structure:
Unit cell a=10.7648 b=7.8572 c=13.3090 alpha=90.00 beta=120.85 gamma=90.00
Fractional positions:
K 0.1204 0.1264 0.2214
K 0.1204 0.3736 0.7214
K 0.8796 0.6264 0.2786
K 0.8796 0.8736 0.7786
Cu 0.3526 0.6633 0.1695
Cu 0.3526 0.8367 0.6695
Cu 0.6474 0.1633 0.3305
Cu 0.6474 0.3367 0.8305
P 0.3049 0.6520 0.4215
P 0.3049 0.8480 0.9215
P 0.3286 0.0655 0.0428
P 0.3286 0.4345 0.5428
P 0.6714 0.5655 0.4572
P 0.6714 0.9345 0.9572
P 0.6951 0.1520 0.0785
P 0.6951 0.3480 0.5785
Se 0.1195 0.1900 0.9652
Se 0.1195 0.3100 0.4652
Se 0.1948 0.5641 0.2403
Se 0.1948 0.9359 0.7403
Se 0.2073 0.6324 0.9610
Se 0.2073 0.8676 0.4610
Se 0.4291 0.5321 0.7247
Se 0.4291 0.9679 0.2247
Se 0.4645 0.2430 0.5082
Se 0.4645 0.2570 0.0082
Se 0.5355 0.7430 0.9918
Se 0.5355 0.7570 0.4918
Se 0.5709 0.0321 0.7753
Se 0.5709 0.4679 0.2753
Se 0.7927 0.1324 0.5390
Se 0.7927 0.3676 0.0390
Se 0.8052 0.0641 0.2597
Se 0.8052 0.4359 0.7597
Se 0.8805 0.6900 0.5348
Se 0.8805 0.8100 0.0348

Largest 6 diffraction maxima, by angle, 2θ from 5° to 70°:
- 9.57°, d 9.242, I 46
- 27.33°, d 3.263, I 65
- 27.55°, d 3.237, I 100
- 28.22°, d 3.163, I 56
- 29.83°, d 2.995, I 73
- 31.31°, d 2.856, I 45

***

Record 6
Starting from a cell relaxed with PBE, the PXRD pattern of KCu3PbSe4 was calculated for a wavelength of 1.5418 Å.
Peak positions follow from Bragg's law for the DFT cell and can differ from measured ones.

Structure:
Unit cell a=6.3992 b=6.3992 c=6.3992 alpha=90.00 beta=90.00 gamma=90.00
Fractional positions:
K 0.0000 0.0000 0.0000
Cu 0.0000 0.5000 0.5000
Cu 0.5000 0.0000 0.5000
Cu 0.5000 0.5000 0.0000
Pb 0.5000 0.5000 0.5000
Se 0.2684 0.2684 0.7316
Se 0.2684 0.7316 0.2684
Se 0.7316 0.2684 0.2684
Se 0.7316 0.7316 0.7316

Largest 6 diffraction maxima, by angle, 2θ from 5° to 70°:
- 13.84°, d 6.399, I 82
- 19.62°, d 4.525, I 34
- 24.09°, d 3.695, I 45
- 31.26°, d 2.862, I 26
- 39.84°, d 2.262, I 100
- 42.37°, d 2.133, I 23

***

Record 7
Starting from a cell relaxed with PBE, the PXRD pattern of KCu4S3 was calculated for a wavelength of 1.5418 Å.
Peak positions follow from Bragg's law for the DFT cell and can differ from measured ones.

Structure:
Unit cell a=3.8974 b=3.8974 c=9.2951 alpha=90.00 beta=90.00 gamma=90.00
Fractional positions:
K 0.0000 0.0000 0.0000
Cu 0.0000 0.5000 0.3419
Cu 0.0000 0.5000 0.6581
Cu 0.5000 0.0000 0.3419
Cu 0.5000 0.0000 0.6581
S 0.0000 0.0000 0.5000
S 0.5000 0.5000 0.2085
S 0.5000 0.5000 0.7915

Largest 6 diffraction maxima, by angle, 2θ from 5° to 70°:
- 9.51°, d 9.295, I 100
- 29.92°, d 2.986, I 33
- 33.93°, d 2.642, I 41
- 43.97°, d 2.059, I 60
- 46.61°, d 1.949, I 44
- 51.44°, d 1.777, I 32

***

Record 8
Starting from a cell relaxed with PBE, the PXRD pattern of K3Cu4S4 was calculated for a wavelength of 1.5418 Å.
Peak positions follow from Bragg's law for the DFT cell and can differ from measured ones.

Structure:
Unit cell a=7.8645 b=15.6972 c=3.8275 alpha=90.00 beta=90.00 gamma=90.00
Fractional positions:
K 0.0000 0.0000 0.0000
K 0.0176 0.2307 0.5000
K 0.4824 0.7307 0.5000
K 0.5000 0.5000 0.0000
K 0.5176 0.2693 0.5000
K 0.9824 0.7693 0.5000
Cu 0.0712 0.4151 0.0000
Cu 0.1514 0.5599 0.5000
Cu 0.3486 0.0599 0.5000
Cu 0.4288 0.9151 0.0000
Cu 0.5712 0.0849 0.0000
Cu 0.6514 0.9401 0.5000
Cu 0.8486 0.4401 0.5000
Cu 0.9288 0.5849 0.0000
S 0.1998 0.6405 0.0000
S 0.2266 0.4158 0.5000
S 0.2734 0.9158 0.5000
S 0.3002 0.1405 0.0000
S 0.6998 0.8595 0.0000
S 0.7266 0.0842 0.5000
S 0.7734 0.5842 0.5000
S 0.8002 0.3595 0.0000

Largest 6 diffraction maxima, by angle, 2θ from 5° to 70°:
- 11.27°, d 7.849, I 61
- 12.59°, d 7.031, I 100
- 30.66°, d 2.916, I 30
- 34.66°, d 2.588, I 69
- 37.01°, d 2.429, I 27
- 43.41°, d 2.084, I 30

***

Record 9
Starting from a cell relaxed with PBE, the PXRD pattern of K2CuSbS3 was calculated for a wavelength of 1.5418 Å.
Peak positions follow from Bragg's law for the DFT cell and can differ from measured ones.

Structure:
Unit cell a=6.3553 b=18.1563 c=7.5618 alpha=90.00 beta=120.36 gamma=90.00
Fractional positions:
K 0.0833 0.1190 0.1454
K 0.0833 0.3810 0.6454
K 0.3557 0.0422 0.7104
K 0.3557 0.4578 0.2104
K 0.6443 0.5422 0.7896
K 0.6443 0.9578 0.2896
K 0.9167 0.6190 0.3546
K 0.9167 0.8810 0.8546
Cu 0.3828 0.2209 0.9311
Cu 0.3828 0.2791 0.4311
Cu 0.6172 0.7209 0.5689
Cu 0.6172 0.7791 0.0689
Sb 0.2367 0.6766 0.0045
Sb 0.2367 0.8234 0.5045
Sb 0.7633 0.1766 0.4955
Sb 0.7633 0.3234 0.9955
S 0.1597 0.5627 0.8144
S 0.1597 0.9373 0.3144
S 0.1995 0.2098 0.5835
S 0.1995 0.2902 0.0835
S 0.4094 0.6261 0.3543
S 0.4094 0.8739 0.8543
S 0.5906 0.1261 0.1457
S 0.5906 0.3739 0.6457
S 0.8005 0.7098 0.9165
S 0.8005 0.7902 0.4165
S 0.8403 0.0627 0.6856
S 0.8403 0.4373 0.1856

Largest 6 diffraction maxima, by angle, 2θ from 5° to 70°:
- 9.74°, d 9.078, I 100
- 17.88°, d 4.961, I 42
- 24.17°, d 3.683, I 32
- 28.65°, d 3.115, I 55
- 29.08°, d 3.070, I 48
- 32.63°, d 2.744, I 38

***

Record 10
Starting from a cell relaxed with PBE, the PXRD pattern of KCu2SbS3 was calculated for a wavelength of 1.5418 Å.
Peak positions follow from Bragg's law for the DFT cell and can differ from measured ones.

Structure:
Unit cell a=6.4370 b=9.1896 c=10.5323 alpha=90.71 beta=91.02 gamma=91.20
Fractional positions:
K 0.1951 0.4259 0.1322
K 0.2995 0.5690 0.6304
K 0.7005 0.4310 0.3696
K 0.8049 0.5741 0.8678
Cu 0.0000 0.1137 0.3310
Cu 0.0000 0.8863 0.6690
Cu 0.0755 0.8395 0.0458
Cu 0.4232 0.1565 0.5375
Cu 0.4826 0.2625 0.8615
Cu 0.5174 0.7375 0.1385
Cu 0.5768 0.8435 0.4625
Cu 0.9245 0.1605 0.9542
Sb 0.0368 0.8186 0.3517
Sb 0.4716 0.9557 0.8529
Sb 0.5284 0.0443 0.1471
Sb 0.9632 0.1814 0.6483
S 0.1363 0.3112 0.8347
S 0.1389 0.0747 0.1358
S 0.1469 0.2900 0.4604
S 0.3439 0.7172 0.9458
S 0.3515 0.9241 0.6268
S 0.3724 0.6869 0.3306
S 0.6276 0.3131 0.6694
S 0.6485 0.0759 0.3732
S 0.6561 0.2828 0.0542
S 0.8531 0.7100 0.5396
S 0.8611 0.9253 0.8642
S 0.8637 0.6888 0.1653

Largest 6 diffraction maxima, by angle, 2θ from 5° to 70°:
- 9.63°, d 9.187, I 100
- 27.73°, d 3.217, I 18
- 29.21°, d 3.057, I 32
- 30.33°, d 2.947, I 58
- 31.02°, d 2.883, I 28
- 34.06°, d 2.632, I 17